Entry 1:
Diffraction record for Dy4BiOs. The powder X-ray diffraction pattern is computed, not measured: it uses a crystal structure in OQMD, relaxed with GGA-PBE and CuKα.
Peak positions follow from Bragg's law for the DFT cell and can differ from measured ones.

Most intense lines, 10° ≤ 2θ ≤ 90°, by angle:
| Position (°2θ) | I/Imax |
| --- | --- |
| 13.15 | 36 |
| 29.73 | 35 |
| 30.82 | 88 |
| 34.11 | 100 |
| 35.31 | 47 |
| 46.00 | 36 |

Atomic structure:
```
data_Dy4BiOs
_chemical_formula_sum 'Dy16 Bi4 Os4'
_cell_length_a 8.965
_cell_length_b 13.470
_cell_length_c 6.174
_cell_angle_alpha 90.00
_cell_angle_beta 112.89
_cell_angle_gamma 90.00
_symmetry_space_group_name_H-M 'C 1 2/c 1'
_symmetry_Int_Tables_number 15
loop_
_symmetry_equiv_pos_as_xyz
'x,y,z'
'-x,-y,-z'
'-x,y,-z+1/2'
'x,-y,z+1/2'
'x+1/2,y+1/2,z'
'-x+1/2,-y+1/2,-z'
'-x+1/2,y+1/2,-z+1/2'
'x+1/2,-y+1/2,z+1/2'
loop_
_atom_site_label
_atom_site_type_symbol
_atom_site_fract_x
_atom_site_fract_y
_atom_site_fract_z
Dy1 Dy 0.108 0.167 0.066
Dy2 Dy 0.225 0.430 0.353
Bi1 Bi 0.000 0.372 0.750
Os1 Os 0.000 0.001 0.750
```

***

Entry 2:
Diffraction record for Dy3BiP2. The powder X-ray diffraction pattern is computed, not measured: it uses a crystal structure in OQMD, relaxed with GGA-PBE and CuKα.
Peak positions follow from Bragg's law for the DFT cell and can differ from measured ones.

Most intense lines, 10° ≤ 2θ ≤ 90°, by angle:
| Position (°2θ) | I/Imax |
| --- | --- |
| 26.65 | 23 |
| 30.47 | 100 |
| 42.74 | 28 |
| 44.50 | 33 |
| 54.89 | 19 |
| 73.23 | 17 |

Atomic structure:
```
data_Dy3BiP2
_chemical_formula_sum 'Dy3 Bi1 P2'
_cell_length_a 4.0721
_cell_length_b 4.0721
_cell_length_c 10.5786
_cell_angle_alpha 90.00
_cell_angle_beta 90.00
_cell_angle_gamma 120.00
_symmetry_space_group_name_H-M 'P -3 m 1'
_symmetry_Int_Tables_number 164
_symmetry_space_group_name_Hall '-P 3 2"'
loop_
_atom_site_label
_atom_site_type_symbol
_atom_site_fract_x
_atom_site_fract_y
_atom_site_fract_z
Dy1 Dy 0.0000 0.0000 0.0000
Dy2 Dy 0.3333 0.6667 0.7030
Bi1 Bi 0.0000 0.0000 0.5000
P1 P 0.3333 0.6667 0.1541
```

***

Entry 3:
Diffraction record for Pr2DyBi3. The powder X-ray diffraction pattern is computed, not measured: it uses a crystal structure in OQMD, relaxed with GGA-PBE and CuKα.
Peak positions follow from Bragg's law for the DFT cell and can differ from measured ones.

Most intense lines, 10° ≤ 2θ ≤ 90°, by angle:
| Position (°2θ) | I/Imax |
| --- | --- |
| 27.68 | 100 |
| 39.54 | 78 |
| 48.99 | 21 |
| 64.60 | 18 |
| 64.73 | 19 |
| 71.79 | 21 |

Atomic structure:
```
data_Pr2DyBi3
_chemical_formula_sum 'Pr2 Dy1 Bi3'
_cell_length_a 4.5528
_cell_length_b 4.5528
_cell_length_c 11.1913
_cell_angle_alpha 90.00
_cell_angle_beta 90.00
_cell_angle_gamma 120.00
_symmetry_space_group_name_H-M 'P -3 m 1'
_symmetry_Int_Tables_number 164
_symmetry_space_group_name_Hall '-P 3 2"'
loop_
_atom_site_label
_atom_site_type_symbol
_atom_site_fract_x
_atom_site_fract_y
_atom_site_fract_z
Pr1 Pr 0.3333 0.6667 0.3280
Dy1 Dy 0.0000 0.0000 0.0000
Bi1 Bi 0.0000 0.0000 0.5000
Bi2 Bi 0.3333 0.6667 0.8423
```

***

Entry 4:
Diffraction record for PrDyBi2Te2. The powder X-ray diffraction pattern is computed, not measured: it uses a crystal structure in OQMD, relaxed with GGA-PBE and CuKα.
Peak positions follow from Bragg's law for the DFT cell and can differ from measured ones.

Most intense lines, 10° ≤ 2θ ≤ 90°, by angle:
| Position (°2θ) | I/Imax |
| --- | --- |
| 28.23 | 41 |
| 30.01 | 100 |
| 34.28 | 79 |
| 34.85 | 27 |
| 40.68 | 48 |
| 50.25 | 34 |

Atomic structure:
```
data_PrDyBi2Te2
_chemical_formula_sum 'Pr1 Dy1 Bi2 Te2'
_cell_length_a 4.436
_cell_length_b 4.436
_cell_length_c 9.483
_cell_angle_alpha 90.00
_cell_angle_beta 90.00
_cell_angle_gamma 90.00
_symmetry_space_group_name_H-M 'P 4 m m'
_symmetry_Int_Tables_number 99
loop_
_symmetry_equiv_pos_as_xyz
'x,y,z'
'-y,x,z'
'-x,-y,z'
'y,-x,z'
'-x,y,z'
'y,x,z'
'x,-y,z'
'-y,-x,z'
loop_
_atom_site_label
_atom_site_type_symbol
_atom_site_fract_x
_atom_site_fract_y
_atom_site_fract_z
Pr1 Pr 0.000 0.000 0.000
Dy1 Dy 0.500 0.500 0.569
Bi1 Bi 0.000 0.500 0.287
Te1 Te 0.000 0.000 0.652
Te2 Te 0.500 0.500 0.903
```

***

Entry 5:
Diffraction record for Dy3Bi2Sb. The powder X-ray diffraction pattern is computed, not measured: it uses a crystal structure in OQMD, relaxed with GGA-PBE and CuKα.
Peak positions follow from Bragg's law for the DFT cell and can differ from measured ones.

Most intense lines, 10° ≤ 2θ ≤ 90°, by angle:
| Position (°2θ) | I/Imax |
| --- | --- |
| 28.48 | 100 |
| 40.64 | 39 |
| 40.80 | 38 |
| 50.51 | 21 |
| 66.63 | 18 |
| 66.86 | 18 |

Atomic structure:
```
data_Dy3Bi2Sb
_chemical_formula_sum 'Dy3 Bi2 Sb1'
_cell_length_a 4.4233
_cell_length_b 4.4233
_cell_length_c 10.8979
_cell_angle_alpha 90.00
_cell_angle_beta 90.00
_cell_angle_gamma 120.00
_symmetry_space_group_name_H-M 'P -3 m 1'
_symmetry_Int_Tables_number 164
_symmetry_space_group_name_Hall '-P 3 2"'
loop_
_atom_site_label
_atom_site_type_symbol
_atom_site_fract_x
_atom_site_fract_y
_atom_site_fract_z
Dy1 Dy 0.0000 0.0000 0.0000
Dy2 Dy 0.3333 0.6667 0.6621
Bi1 Bi 0.3333 0.6667 0.1680
Sb1 Sb 0.0000 0.0000 0.5000
```

***

Entry 6:
Diffraction record for Dy2Bi2Se5. The powder X-ray diffraction pattern is computed, not measured: it uses a crystal structure in OQMD, relaxed with GGA-PBE and CuKα.
Peak positions follow from Bragg's law for the DFT cell and can differ from measured ones.

Most intense lines, 10° ≤ 2θ ≤ 90°, by angle:
| Position (°2θ) | I/Imax |
| --- | --- |
| 29.45 | 100 |
| 40.93 | 36 |
| 43.32 | 40 |
| 53.24 | 19 |
| 61.12 | 13 |
| 70.97 | 17 |

Atomic structure:
```
data_Dy2Bi2Se5
_chemical_formula_sum 'Dy2 Bi2 Se5'
_cell_length_a 4.1780
_cell_length_b 4.1780
_cell_length_c 16.6858
_cell_angle_alpha 90.00
_cell_angle_beta 90.00
_cell_angle_gamma 120.00
_symmetry_space_group_name_H-M 'P -3 m 1'
_symmetry_Int_Tables_number 164
_symmetry_space_group_name_Hall '-P 3 2"'
loop_
_atom_site_label
_atom_site_type_symbol
_atom_site_fract_x
_atom_site_fract_y
_atom_site_fract_z
Dy1 Dy 0.3333 0.6667 0.0963
Bi1 Bi 0.0000 0.0000 0.3291
Se1 Se 0.0000 0.0000 0.0000
Se2 Se 0.3333 0.6667 0.4186
Se3 Se 0.3333 0.6667 0.8045
```

***

Entry 7:
Diffraction record for Dy2YBi3. The powder X-ray diffraction pattern is computed, not measured: it uses a crystal structure in OQMD, relaxed with GGA-PBE and CuKα.
Peak positions follow from Bragg's law for the DFT cell and can differ from measured ones.

Most intense lines, 10° ≤ 2θ ≤ 90°, by angle:
| Position (°2θ) | I/Imax |
| --- | --- |
| 28.27 | 100 |
| 40.31 | 39 |
| 40.49 | 39 |
| 50.12 | 21 |
| 66.05 | 19 |
| 66.32 | 18 |

Atomic structure:
```
data_Dy2YBi3
_chemical_formula_sum 'Dy2 Y1 Bi3'
_cell_length_a 4.4552
_cell_length_b 4.4552
_cell_length_c 10.9867
_cell_angle_alpha 90.00
_cell_angle_beta 90.00
_cell_angle_gamma 120.00
_symmetry_space_group_name_H-M 'P -3 m 1'
_symmetry_Int_Tables_number 164
_symmetry_space_group_name_Hall '-P 3 2"'
loop_
_atom_site_label
_atom_site_type_symbol
_atom_site_fract_x
_atom_site_fract_y
_atom_site_fract_z
Dy1 Dy 0.3333 0.6667 0.3333
Y1 Y 0.0000 0.0000 0.0000
Bi1 Bi 0.0000 0.0000 0.5000
Bi2 Bi 0.3333 0.6667 0.8332
```

***

Entry 8:
Diffraction record for DyYZr2Bi2. The powder X-ray diffraction pattern is computed, not measured: it uses a crystal structure in OQMD, relaxed with GGA-PBE and CuKα.
Peak positions follow from Bragg's law for the DFT cell and can differ from measured ones.

Most intense lines, 10° ≤ 2θ ≤ 90°, by angle:
| Position (°2θ) | I/Imax |
| --- | --- |
| 29.19 | 46 |
| 31.09 | 53 |
| 33.64 | 40 |
| 36.24 | 100 |
| 41.75 | 56 |
| 72.63 | 27 |

Atomic structure:
```
data_DyYZr2Bi2
_chemical_formula_sum 'Dy2 Y2 Zr4 Bi4'
_cell_length_a 4.327
_cell_length_b 4.327
_cell_length_c 16.908
_cell_angle_alpha 90.00
_cell_angle_beta 90.00
_cell_angle_gamma 90.00
_symmetry_space_group_name_H-M 'I 4 m m'
_symmetry_Int_Tables_number 107
_symmetry_space_group_name_Hall 'I 4 -2'
loop_
_atom_site_label
_atom_site_type_symbol
_atom_site_fract_x
_atom_site_fract_y
_atom_site_fract_z
Dy1 Dy 0.000 0.000 0.000
Y1 Y 0.000 0.000 0.648
Zr1 Zr 0.000 0.500 0.324
Bi1 Bi 0.000 0.000 0.189
Bi2 Bi 0.000 0.000 0.459
```